The following is a calculated X-ray powder pattern of CsPm2F7. It was derived from a cell relaxed with PBE, using a wavelength of 1.5418 Å.
Peak positions follow from Bragg's law for the DFT cell and can differ from measured ones.

Largest 10 diffraction maxima, sorted by position, 10 to 80 degrees two-theta:
d (Å)  I (rel.)
4.464  38.5
3.590  86.4
3.553  77.7
3.524  82.3
3.370  100.0
2.502  55.5
2.232  54.6
2.014  36.1
1.963  54.7
1.861  37.5

Atomic structure:
```
CsPm2F7
1.0
3.553 -5.741 0.000
3.553 5.741 0.000
0.000 0.000 4.464
Cs Pm F
1 2 7
Cartesian
0.000 0.000 0.000 Cs
3.553 2.228 2.232 Pm
3.553 -2.228 2.232 Pm
1.341 1.619 2.232 F
3.553 2.406 0.000 F
1.341 -1.619 2.232 F
3.553 0.000 2.232 F
5.764 1.619 2.232 F
3.553 -2.406 0.000 F
5.764 -1.619 2.232 F
```